# RbLa3Tc
Calculated X-ray diffraction stick pattern, Cu Kα (λ = 1.5418 Å). Input: a GGA-PBE-relaxed structure.
Intensities are scaled so that the largest is 100.

Structural model:
Cell: 5.731 5.731 5.731 Å, 90.00 90.00 90.00°
Space group Pm-3m (No. 221)
Inequivalent atoms, fractional coordinates:
Rb (0.000, 0.000, 0.000) (multiplicity 1)
La (0.000, 0.500, 0.500) (multiplicity 3)
Tc (0.500, 0.500, 0.500) (multiplicity 1)

Largest 10 diffraction maxima, sorted by position, 2θ from 5° to 70°:
- hkl 1 0 0, 2θ 15.46, rel. 35
- hkl 1 1 1, 2θ 26.94, rel. 85
- hkl 2 0 0, 2θ 31.21, rel. 100
- hkl 2 1 0, 2θ 35.01, rel. 19
- hkl 2 2 0, 2θ 44.72, rel. 73
- hkl 3 0 0, 2θ 47.60, rel. 10
- hkl 3 1 1, 2θ 52.99, rel. 39
- hkl 2 2 2, 2θ 55.54, rel. 26
- hkl 4 0 0, 2θ 65.10, rel. 12
- hkl 4 1 0, 2θ 67.37, rel. 5